Diffraction record for Li4Dy3MnSe8. The powder XRD pattern is simulated, not measured: it uses a GGA-PBE-relaxed structure and λ = 1.5418 Å (Cu Kα).

Most intense lines, 10° ≤ 2θ ≤ 80°, in order of falling intensity:
two_theta	Rel. int.	h k l
31.81	100.0	0 2 4
13.71	46.9	0 0 3
45.75	36.0	2 0 8
45.47	35.9	2 2 0
26.20	33.8	0 2 1
56.56	18.4	4 0 4

Atomic structure:
Lattice parameters (Å, degrees): 7.9797 7.9797 19.3761 90.00 90.00 120.00
Space group R-3m (No. 166, hexagonal axes)
Unique sites:
Li1 0.0000 0.0000 0.0000
Li2 0.0000 0.5000 0.0000
Dy1 0.0000 0.5000 0.5000
Mn1 0.0000 0.0000 0.5000
Se1 0.0000 0.0000 0.2520
Se2 0.0194 0.5097 0.2489

=====

Diffraction record for Ce3GeRh4. The powder XRD pattern is simulated, not measured: it uses a GGA-PBE-relaxed structure and λ = 1.5418 Å (Cu Kα).

Most intense lines, 10° ≤ 2θ ≤ 80°, in order of falling intensity:
two_theta	Rel. int.	h k l
35.91	100.0	0 2 2
45.90	28.9	2 3 1
39.39	23.7	0 4 0
43.62	23.1	2 0 2
31.02	20.4	2 0 0
36.85	20.1	2 2 0

Atomic structure:
Lattice parameters (Å, degrees): 5.766 9.151 5.978 90.00 90.00 90.00
Space group Imm2 (No. 44)
Unique sites:
Ce1 0.000 0.000 0.000
Ce2 0.000 0.294 0.259
Ge1 0.000 0.500 0.664
Rh1 0.000 0.232 0.746
Rh2 0.241 0.000 0.498

=====

Diffraction record for CePuTh2S4. The powder XRD pattern is simulated, not measured: it uses a GGA-PBE-relaxed structure and λ = 1.5418 Å (Cu Kα).

Most intense lines, 10° ≤ 2θ ≤ 80°, in order of falling intensity:
two_theta	Rel. int.	h k l
31.54	100.0	1 1 1
27.19	74.1	0 0 2
45.07	24.9	1 1 -3
45.21	24.6	0 2 0
45.34	24.5	3 1 -1
27.33	24.4	2 0 0

Atomic structure:
Lattice parameters (Å, degrees): 6.922 4.012 6.975 90.00 109.50 90.00
Space group P2/m (No. 10)
Unique sites:
Ce1 0.000 0.000 0.000
Pu1 0.500 0.500 0.000
Th1 0.000 0.500 0.500
Th2 0.500 0.000 0.500
S1 0.251 0.500 0.244
S2 0.256 0.000 0.759

=====

Diffraction record for La3Sm2Tm. The powder XRD pattern is simulated, not measured: it uses a GGA-PBE-relaxed structure and λ = 1.5418 Å (Cu Kα).

Most intense lines, 10° ≤ 2θ ≤ 80°, in order of falling intensity:
two_theta	Rel. int.	h k l
31.87	100.0	1 1 2
29.03	35.7	1 1 1
29.99	33.3	0 0 4
59.06	29.3	3 0 4
49.60	24.7	3 0 0
54.45	22.0	1 1 6

Atomic structure:
Lattice parameters (Å, degrees): 6.3664 6.3664 11.9174 90.00 90.00 120.00
Space group P6_3/mcm (No. 193)
Unique sites:
La1 0.0000 0.3309 0.2500
Sm1 0.3333 0.6667 0.0000
Tm1 0.0000 0.0000 0.0000